Entry 1:
SrCdPbO4: calculated powder X-ray diffraction pattern (a wavelength of 1.5418 Å), based on the GGA-PBE geometry in Alexandria.

Main lines, in order of rising 2θ (2θ = 10–90°):
15.57 deg, I = 89
29.90 deg, I = 75
30.24 deg, I = 47
30.45 deg, I = 100
31.71 deg, I = 46
52.58 deg, I = 64

Atomic structure:
```
SrCdPbO4
1.0
-3.4276 3.4689 4.9716
3.4276 -3.4689 4.9716
3.4276 3.4689 -4.9716
Sr Cd Pb O
2 2 2 8
direct
0.3649 0.1149 0.2500 Sr
0.6351 0.8851 0.7500 Sr
0.0000 0.5000 0.5000 Cd
0.5000 0.5000 0.0000 Cd
0.0000 0.0000 0.5000 Pb
0.0000 0.5000 0.0000 Pb
0.2104 0.7446 0.4659 O
0.2183 0.2409 0.5225 O
0.2183 0.6958 0.9775 O
0.2213 0.2554 0.9659 O
0.7787 0.7446 0.0341 O
0.7817 0.3042 0.0225 O
0.7817 0.7591 0.4775 O
0.7896 0.2554 0.5341 O
```


Entry 2:
Rb2Sm2RuO6: calculated powder X-ray diffraction pattern (a wavelength of 1.5418 Å), based on the GGA-PBE geometry in Alexandria.

Main lines, in order of rising 2θ (2θ = 10–90°):
13.27 deg, I = 100
26.72 deg, I = 66
31.02 deg, I = 38
31.79 deg, I = 71
35.03 deg, I = 99
35.68 deg, I = 47

Atomic structure:
```
Rb2Sm2RuO6
1.0
2.9784 -5.0926 0.0000
2.9784 5.0926 0.0000
-1.7338 0.0000 6.6715
Rb Sm Ru O
2 2 1 6
direct
0.1624 0.8376 0.0000 Rb
0.8376 0.1624 0.0000 Rb
0.3335 0.6665 0.5000 Sm
0.6665 0.3335 0.5000 Sm
0.0000 0.0000 0.5000 Ru
0.0473 0.3556 0.6667 O
0.2388 0.2388 0.3355 O
0.3556 0.0473 0.6667 O
0.6444 0.9527 0.3333 O
0.7612 0.7612 0.6645 O
0.9527 0.6444 0.3333 O
```


Entry 3:
Be15Nb2Ni2: calculated powder X-ray diffraction pattern (a wavelength of 1.5418 Å), based on the GGA-PBE geometry in Alexandria.

Main lines, in order of rising 2θ (2θ = 10–90°):
23.89 deg, I = 100
35.83 deg, I = 27
42.01 deg, I = 30
43.52 deg, I = 19
48.90 deg, I = 22
50.25 deg, I = 24

Atomic structure:
```
Be15Nb2Ni2
1.0
3.7251 2.1507 3.6265
-3.7251 2.1507 3.6265
0.0000 -4.3014 3.6265
Be Nb Ni
15 2 2
direct
0.0000 0.0000 0.5000 Be
0.0000 0.2876 0.7124 Be
0.0000 0.5000 0.0000 Be
0.0000 0.7124 0.2876 Be
0.1596 0.6537 0.6537 Be
0.2876 0.0000 0.7124 Be
0.2876 0.7124 0.0000 Be
0.3463 0.3463 0.8404 Be
0.3463 0.8404 0.3463 Be
0.5000 0.0000 0.0000 Be
0.6537 0.1596 0.6537 Be
0.6537 0.6537 0.1596 Be
0.7124 0.0000 0.2876 Be
0.7124 0.2876 0.0000 Be
0.8404 0.3463 0.3463 Be
0.3463 0.3463 0.3463 Nb
0.6537 0.6537 0.6537 Nb
0.1076 0.1076 0.1076 Ni
0.8924 0.8924 0.8924 Ni
```


Entry 4:
MnFe2Co2: calculated powder X-ray diffraction pattern (a wavelength of 1.5418 Å), based on the GGA-PBE geometry in Alexandria.

Main lines, in order of rising 2θ (2θ = 10–90°):
25.88 deg, I = 24
32.18 deg, I = 22
45.64 deg, I = 100
46.65 deg, I = 98
67.32 deg, I = 29
85.13 deg, I = 29

Atomic structure:
```
MnFe2Co2
1.0
3.9757 0.0000 0.0000
-1.9879 3.4431 0.0000
0.0000 0.0000 4.7212
Mn Fe Co
1 2 2
direct
0.0000 0.0000 0.0000 Mn
0.3333 0.6667 0.1699 Fe
0.6667 0.3333 0.8301 Fe
0.3333 0.6667 0.6633 Co
0.6667 0.3333 0.3367 Co
```


Entry 5:
Pm7Pr12Y: calculated powder X-ray diffraction pattern (a wavelength of 1.5418 Å), based on the GGA-PBE geometry in Alexandria.

Main lines, in order of rising 2θ (2θ = 10–90°):
26.78 deg, I = 100
29.26 deg, I = 88
32.20 deg, I = 51
32.57 deg, I = 77
40.39 deg, I = 56
46.41 deg, I = 42

Atomic structure:
```
Pm7Pr12Y
1.0
9.5227 5.4979 2.3334
-9.5227 5.4979 2.3334
0.0000 -10.9959 2.3334
Pm Pr Y
7 12 1
direct
0.0000 0.0000 0.0000 Pm
0.1208 0.4254 0.2825 Pm
0.2825 0.1208 0.4254 Pm
0.4254 0.2825 0.1208 Pm
0.5746 0.7175 0.8792 Pm
0.7175 0.8792 0.5746 Pm
0.8792 0.5746 0.7175 Pm
0.0013 0.7887 0.5754 Pr
0.2113 0.4246 0.9987 Pr
0.2293 0.7518 0.2970 Pr
0.2482 0.7030 0.7707 Pr
0.2970 0.2293 0.7518 Pr
0.4246 0.9987 0.2113 Pr
0.5754 0.0013 0.7887 Pr
0.7030 0.7707 0.2482 Pr
0.7518 0.2970 0.2293 Pr
0.7707 0.2482 0.7030 Pr
0.7887 0.5754 0.0013 Pr
0.9987 0.2113 0.4246 Pr
0.5000 0.5000 0.5000 Y
```


Entry 6:
RbGa7Ag12: calculated powder X-ray diffraction pattern (a wavelength of 1.5418 Å), based on the GGA-PBE geometry in Alexandria.

Main lines, in order of rising 2θ (2θ = 10–90°):
29.78 deg, I = 78
35.16 deg, I = 56
36.91 deg, I = 87
37.35 deg, I = 78
39.25 deg, I = 63
39.37 deg, I = 100

Atomic structure:
```
RbGa7Ag12
1.0
6.8659 3.9640 2.4077
-6.8659 3.9640 2.4077
0.0000 -7.9280 2.4077
Rb Ga Ag
1 7 12
direct
0.0000 0.0000 0.0000 Rb
0.1821 0.1821 0.5358 Ga
0.1821 0.5358 0.1821 Ga
0.4642 0.8179 0.8179 Ga
0.5000 0.5000 0.5000 Ga
0.5358 0.1821 0.1821 Ga
0.8179 0.4642 0.8179 Ga
0.8179 0.8179 0.4642 Ga
0.0000 0.2644 0.7356 Ag
0.0000 0.7356 0.2644 Ag
0.0947 0.4216 0.4216 Ag
0.2644 0.0000 0.7356 Ag
0.2644 0.7356 0.0000 Ag
0.4216 0.0947 0.4216 Ag
0.4216 0.4216 0.0947 Ag
0.5784 0.5784 0.9053 Ag
0.5784 0.9053 0.5784 Ag
0.7356 0.0000 0.2644 Ag
0.7356 0.2644 0.0000 Ag
0.9053 0.5784 0.5784 Ag
```


Entry 7:
CaNd2Zn9: calculated powder X-ray diffraction pattern (a wavelength of 1.5418 Å), based on the GGA-PBE geometry in Alexandria.

Main lines, in order of rising 2θ (2θ = 10–90°):
30.32 deg, I = 29
32.22 deg, I = 42
33.17 deg, I = 29
37.54 deg, I = 36
38.44 deg, I = 100
41.32 deg, I = 38

Atomic structure:
```
CaNd2Zn9
1.0
2.7780 1.6039 8.7037
-2.7780 1.6039 8.7037
0.0000 -3.2078 8.7037
Ca Nd Zn
1 2 9
direct
0.0000 0.0000 0.0000 Ca
0.1405 0.1405 0.1405 Nd
0.8595 0.8595 0.8595 Nd
0.0774 0.5833 0.5833 Zn
0.3347 0.3347 0.3347 Zn
0.4167 0.4167 0.9226 Zn
0.4167 0.9226 0.4167 Zn
0.5000 0.5000 0.5000 Zn
0.5833 0.0774 0.5833 Zn
0.5833 0.5833 0.0774 Zn
0.6653 0.6653 0.6653 Zn
0.9226 0.4167 0.4167 Zn
```


Entry 8:
InBi3Pb6: calculated powder X-ray diffraction pattern (a wavelength of 1.5418 Å), based on the GGA-PBE geometry in Alexandria.

Main lines, in order of rising 2θ (2θ = 10–90°):
30.83 deg, I = 100
30.99 deg, I = 98
35.30 deg, I = 35
35.92 deg, I = 33
36.30 deg, I = 33
51.51 deg, I = 36

Atomic structure:
```
InBi3Pb6
1.0
11.1839 0.0000 0.0000
0.0000 4.9498 0.0000
-0.1002 0.0000 11.3688
In Bi Pb
2 6 12
direct
0.0946 0.2500 0.0481 In
0.9054 0.7500 0.9519 In
0.1073 0.7500 0.5530 Bi
0.2967 0.2500 0.6530 Bi
0.4910 0.2500 0.2466 Bi
0.5090 0.7500 0.7534 Bi
0.7033 0.7500 0.3470 Bi
0.8927 0.2500 0.4470 Bi
0.0003 0.2500 0.7588 Pb
0.9997 0.7500 0.2412 Pb
0.1886 0.2500 0.3479 Pb
0.2014 0.7500 0.8548 Pb
0.2955 0.7500 0.1472 Pb
0.3973 0.2500 0.9521 Pb
0.4037 0.7500 0.4447 Pb
0.5963 0.2500 0.5553 Pb
0.6027 0.7500 0.0479 Pb
0.7045 0.2500 0.8528 Pb
0.7986 0.2500 0.1452 Pb
0.8114 0.7500 0.6521 Pb
```